Computed powder diffraction line list of SrIn5Cu for Cu Ka, from a structure optimized by DFT (GGA-PBE).
Peak positions follow from Bragg's law for the DFT cell and can differ from measured ones.

Cell and atoms:
Cell lengths 4.816, 4.816, 7.804 Å; angles 90.00, 90.00, 90.00 degrees
Positions (direct):
Sr: 0.000 0.000 0.000
In: 0.000 0.500 0.307
In: 0.000 0.500 0.693
In: 0.500 0.000 0.307
In: 0.500 0.000 0.693
In: 0.500 0.500 0.000
Cu: 0.000 0.000 0.500

Largest 6 diffraction maxima, in order of falling intensity, 10 to 90 degrees two-theta:
2θ 35.0, I = 100, hkl 1 1 2
2θ 37.3, I = 58, hkl 2 0 0
2θ 65.8, I = 43, hkl 3 1 2
2θ 28.6, I = 39, hkl 1 1 1
2θ 51.7, I = 24, hkl 2 0 3
2θ 34.5, I = 20, hkl 0 0 3